For Sr2LiTi6N2O11, a crystal structure in Alexandria, relaxed with GGA-PBE gives the simulated X-ray powder pattern in this record (copper Kα).
Intensities are scaled so that the largest is 100.

Crystal structure
Cell: 7.8984 7.8984 9.2126 Å, 96.04 96.04 28.77°
Fractional positions:
1 Sr 0.0000 0.0000 0.0000
2 Sr 0.1292 0.1292 0.5766
3 Li 0.9587 0.9587 0.4610
4 Ti 0.3028 0.3028 0.0136
5 Ti 0.3656 0.3656 0.3441
6 Ti 0.4215 0.4215 0.6806
7 Ti 0.6627 0.6627 0.8721
8 Ti 0.7031 0.7031 0.2199
9 Ti 0.7910 0.7910 0.5593
10 N 0.3100 0.3100 0.5369
11 N 0.7146 0.7146 0.7029
12 O 0.1695 0.1695 0.9107
13 O 0.2397 0.2397 0.2172
14 O 0.3716 0.3716 0.8605
15 O 0.4051 0.4051 0.1458
16 O 0.4756 0.4756 0.4649
17 O 0.5425 0.5425 0.7921
18 O 0.6018 0.6018 0.1058
19 O 0.6785 0.6785 0.4108
20 O 0.7744 0.7744 0.0272
21 O 0.8518 0.8518 0.3423
22 O 0.9219 0.9219 0.6568

Top 10 peaks for 2θ = 10–80°, in order of rising 2θ:
2θ = 19.38°, intensity 35; 2θ = 28.78°, intensity 67; 2θ = 29.78°, intensity 82; 2θ = 30.15°, intensity 41; 2θ = 30.34°, intensity 42; 2θ = 31.02°, intensity 100; 2θ = 42.60°, intensity 59; 2θ = 43.89°, intensity 61; 2θ = 46.27°, intensity 68; 2θ = 65.67°, intensity 31

---

For Sr2LiTi6N2O11, a crystal structure in Alexandria, relaxed with GGA-PBE gives the simulated X-ray powder pattern in this record (copper Kα).
Intensities are scaled so that the largest is 100.

Crystal structure
Cell: 7.8729 7.8729 10.0011 Å, 104.94 104.94 28.56°
Fractional positions:
1 Sr 0.0000 0.0000 0.0000
2 Sr 0.0687 0.0687 0.5776
3 Li 0.8671 0.8671 0.2409
4 Ti 0.3020 0.3020 0.0484
5 Ti 0.3286 0.3286 0.4186
6 Ti 0.4009 0.4009 0.7226
7 Ti 0.6562 0.6562 0.8968
8 Ti 0.6672 0.6672 0.2902
9 Ti 0.7569 0.7569 0.6151
10 N 0.2790 0.2790 0.5826
11 N 0.6807 0.6807 0.7294
12 O 0.1678 0.1678 0.9484
13 O 0.2011 0.2011 0.2855
14 O 0.3752 0.3752 0.2333
15 O 0.3748 0.3748 0.9355
16 O 0.4472 0.4472 0.5556
17 O 0.5303 0.5303 0.8418
18 O 0.5725 0.5725 0.1451
19 O 0.6327 0.6327 0.4508
20 O 0.7767 0.7767 0.0588
21 O 0.8146 0.8146 0.3960
22 O 0.8896 0.8896 0.7386

Top 10 peaks for 2θ = 10–80°, in order of rising 2θ:
2θ = 18.41°, intensity 26; 2θ = 26.28°, intensity 46; 2θ = 27.17°, intensity 32; 2θ = 29.13°, intensity 30; 2θ = 29.32°, intensity 100; 2θ = 31.17°, intensity 32; 2θ = 32.07°, intensity 44; 2θ = 32.26°, intensity 32; 2θ = 34.39°, intensity 25; 2θ = 46.78°, intensity 51

---

For Sr2LiTi6N2O11, a crystal structure in Alexandria, relaxed with GGA-PBE gives the simulated X-ray powder pattern in this record (copper Kα).
Intensities are scaled so that the largest is 100.

Crystal structure
Cell: 7.7953 7.7953 9.3791 Å, 97.16 97.16 28.83°
Fractional positions:
1 Sr 0.0000 0.0000 0.0000
2 Sr 0.0852 0.0852 0.5311
3 Li 0.8191 0.8191 0.8035
4 Ti 0.2959 0.2959 0.0102
5 Ti 0.3681 0.3681 0.3381
6 Ti 0.4068 0.4068 0.6601
7 Ti 0.6481 0.6481 0.8435
8 Ti 0.6991 0.6991 0.1994
9 Ti 0.7700 0.7700 0.5220
10 N 0.2996 0.2996 0.5078
11 N 0.6994 0.6994 0.6738
12 O 0.1595 0.1595 0.8912
13 O 0.2323 0.2323 0.1947
14 O 0.3561 0.3561 0.8413
15 O 0.4027 0.4027 0.1329
16 O 0.4716 0.4716 0.4647
17 O 0.5286 0.5286 0.7714
18 O 0.5971 0.5971 0.0779
19 O 0.6606 0.6606 0.3785
20 O 0.7713 0.7713 0.9958
21 O 0.8388 0.8388 0.3199
22 O 0.9003 0.9003 0.6542

Top 10 peaks for 2θ = 10–80°, in order of rising 2θ:
2θ = 19.08°, intensity 46; 2θ = 29.14°, intensity 100; 2θ = 29.74°, intensity 47; 2θ = 29.97°, intensity 79; 2θ = 30.09°, intensity 48; 2θ = 31.08°, intensity 49; 2θ = 31.45°, intensity 47; 2θ = 32.60°, intensity 71; 2θ = 43.08°, intensity 89; 2θ = 46.81°, intensity 72

---

For Li16Ta2N8O, a crystal structure in Alexandria, relaxed with GGA-PBE gives the simulated X-ray powder pattern in this record (copper Kα).
Intensities are scaled so that the largest is 100.

Crystal structure
Cell: 9.1965 9.1965 9.1965 Å, 38.07 38.07 38.07°
Fractional positions:
1 Li 0.0570 0.6824 0.3316
2 Li 0.0775 0.0775 0.0775
3 Li 0.1673 0.8257 0.5812
4 Li 0.1743 0.4188 0.8327
5 Li 0.3176 0.6684 0.9430
6 Li 0.3316 0.0570 0.6824
7 Li 0.4172 0.4172 0.4172
8 Li 0.4188 0.8327 0.1743
9 Li 0.5812 0.1673 0.8257
10 Li 0.5828 0.5828 0.5828
11 Li 0.6684 0.9430 0.3176
12 Li 0.6824 0.3316 0.0570
13 Li 0.8257 0.5812 0.1673
14 Li 0.8327 0.1743 0.4188
15 Li 0.9225 0.9225 0.9225
16 Li 0.9430 0.3176 0.6684
17 Ta 0.2494 0.2494 0.2494
18 Ta 0.7506 0.7506 0.7506
19 N 0.0871 0.7740 0.4652
20 N 0.2260 0.5348 0.9129
21 N 0.3263 0.3263 0.3263
22 N 0.4652 0.0871 0.7740
23 N 0.5348 0.9129 0.2260
24 N 0.6737 0.6737 0.6737
25 N 0.7740 0.4652 0.0871
26 N 0.9129 0.2260 0.5348
27 O 0.0000 0.0000 0.0000

Top 10 peaks for 2θ = 10–80°, in order of rising 2θ:
2θ = 18.43°, intensity 100; 2θ = 20.85°, intensity 24; 2θ = 22.05°, intensity 69; 2θ = 29.78°, intensity 32; 2θ = 32.91°, intensity 24; 2θ = 35.25°, intensity 20; 2θ = 36.64°, intensity 33; 2θ = 37.37°, intensity 17; 2θ = 46.80°, intensity 17; 2θ = 52.71°, intensity 21

---

For LiTi2N2O, a crystal structure in Alexandria, relaxed with GGA-PBE gives the simulated X-ray powder pattern in this record (copper Kα).
Intensities are scaled so that the largest is 100.

Crystal structure
Cell: 6.0215 6.0215 4.1922 Å, 90.00 90.00 60.14°
Fractional positions:
1 Li 0.1510 0.8490 0.7500
2 Li 0.8490 0.1510 0.2500
3 Ti 0.1696 0.4990 0.2500
4 Ti 0.4990 0.1696 0.7500
5 Ti 0.5010 0.8304 0.2500
6 Ti 0.8304 0.5010 0.7500
7 N 0.1637 0.4904 0.7500
8 N 0.4904 0.1637 0.2500
9 N 0.5096 0.8363 0.7500
10 N 0.8363 0.5096 0.2500
11 O 0.1871 0.8129 0.2500
12 O 0.8129 0.1871 0.7500

Top 10 peaks for 2θ = 10–80°, in order of rising 2θ:
2θ = 17.00°, intensity 68; 2θ = 27.28°, intensity 55; 2θ = 29.65°, intensity 100; 2θ = 36.73°, intensity 50; 2θ = 40.71°, intensity 12; 2θ = 43.16°, intensity 42; 2θ = 52.58°, intensity 42; 2θ = 52.69°, intensity 21; 2θ = 53.24°, intensity 30; 2θ = 70.33°, intensity 45

---

For LiZrNO, a crystal structure in Alexandria, relaxed with GGA-PBE gives the simulated X-ray powder pattern in this record (copper Kα).
Intensities are scaled so that the largest is 100.

Crystal structure
Cell: 3.6820 3.6820 4.2801 Å, 90.00 90.00 120.00°
Fractional positions:
1 Li 0.0000 0.0000 0.0000
2 Zr 0.6667 0.3333 0.5000
3 N 0.0000 0.0000 0.5000
4 O 0.6667 0.3333 0.0000

Top 10 peaks for 2θ = 10–80°, in order of rising 2θ:
2θ = 20.75°, intensity 49; 2θ = 27.98°, intensity 100; 2θ = 35.09°, intensity 55; 2θ = 42.23°, intensity 16; 2θ = 49.51°, intensity 30; 2θ = 51.42°, intensity 34; 2θ = 54.24°, intensity 21; 2θ = 57.83°, intensity 12; 2θ = 62.13°, intensity 11; 2θ = 67.06°, intensity 22